Sr4TePb: calculated X-ray powder pattern (Cu Kα (λ = 1.5418 Å)), based on a structure optimized by DFT (PBE).
Neutral-atom scattering factors, no anomalous dispersion.

The 6 most intense peaks (5° ≤ 2θ ≤ 70°), by angle:
Position (°2θ), intensity
25.4, 47
29.9, 100
31.3, 23
44.8, 21
47.7, 37
52.2, 29

```
Sr4TePb
1.0
0.000 4.953 4.953
4.953 0.000 4.953
4.953 4.953 0.000
Sr Te Pb
4 1 1
direct
0.125 0.125 0.125 Sr
0.125 0.125 0.624 Sr
0.125 0.624 0.125 Sr
0.624 0.125 0.125 Sr
0.750 0.750 0.750 Te
0.500 0.500 0.500 Pb
```



SrTe2Pb: calculated X-ray powder pattern (Cu Kα (λ = 1.5418 Å)), based on a structure optimized by DFT (PBE).
Neutral-atom scattering factors, no anomalous dispersion.

The 6 most intense peaks (5° ≤ 2θ ≤ 70°), by angle:
Position (°2θ), intensity
26.8, 100
38.3, 78
47.4, 21
62.4, 19
62.5, 19
69.2, 21

```
SrTe2Pb
1.0
2.350 1.357 7.697
-2.350 1.357 7.697
0.000 -2.713 7.697
Sr Te Pb
1 2 1
direct
0.000 0.000 0.000 Sr
0.249 0.249 0.249 Te
0.751 0.751 0.751 Te
0.500 0.500 0.500 Pb
```



Sr8Tl2Pb: calculated X-ray powder pattern (Cu Kα (λ = 1.5418 Å)), based on a structure optimized by DFT (PBE).
Neutral-atom scattering factors, no anomalous dispersion.

The 6 most intense peaks (5° ≤ 2θ ≤ 70°), by angle:
Position (°2θ), intensity
18.3, 35
27.9, 21
29.5, 100
31.4, 24
31.6, 17
54.7, 17

```
Sr8Tl2Pb
1.0
-2.846 4.624 8.506
2.846 -4.624 8.506
2.846 4.624 -8.506
Sr Tl Pb
8 2 1
direct
0.120 0.339 0.781 Sr
0.144 0.144 0.000 Sr
0.309 0.000 0.309 Sr
0.441 0.661 0.781 Sr
0.559 0.339 0.219 Sr
0.691 0.000 0.691 Sr
0.856 0.856 0.000 Sr
0.880 0.661 0.219 Sr
0.311 0.811 0.500 Tl
0.689 0.189 0.500 Tl
0.000 0.500 0.500 Pb
```